Entry 1:
This entry pairs a crystal structure of Hf6Sn2Sb with its computed X-ray powder pattern. Radiation: Cu Kα (weighted mean of Kα1 and Kα2). Structure: a crystal structure in Alexandria, relaxed with PBE.

Main lines, by angle (10° ≤ 2θ ≤ 80°):
- 2θ 35.7, d 2.513, I 51
- 2θ 36.0, d 2.498, I 100
- 2θ 36.2, d 2.480, I 97
- 2θ 51.8, d 1.764, I 24
- 2θ 64.8, d 1.440, I 21
- 2θ 65.4, d 1.427, I 23

Structure:
abc: 8.635 9.069 5.026
angles: 90.00 90.00 90.00
Atoms (fractional coordinates):
Hf (0.002, 0.166, 0.000)
Hf (0.160, 0.588, 0.500)
Hf (0.168, 0.924, 0.500)
Hf (0.332, 0.424, 0.000)
Hf (0.340, 0.088, 0.000)
Hf (0.498, 0.666, 0.500)
Hf (0.502, 0.334, 0.500)
Hf (0.660, 0.912, 0.000)
Hf (0.668, 0.576, 0.000)
Hf (0.832, 0.076, 0.500)
Hf (0.840, 0.412, 0.500)
Hf (0.998, 0.834, 0.000)
Sn (0.168, 0.253, 0.500)
Sn (0.332, 0.753, 0.000)
Sn (0.668, 0.247, 0.000)
Sn (0.832, 0.747, 0.500)
Sb (0.000, 0.500, 0.000)
Sb (0.500, 0.000, 0.500)


Entry 2:
This entry pairs a crystal structure of Hf10Sn3Sb3 with its computed X-ray powder pattern. Radiation: Cu Kα (weighted mean of Kα1 and Kα2). Structure: a crystal structure in Alexandria, relaxed with PBE.

Main lines, by angle (10° ≤ 2θ ≤ 80°):
- 2θ 32.4, d 2.762, I 36
- 2θ 36.1, d 2.485, I 100
- 2θ 36.9, d 2.436, I 48
- 2θ 38.1, d 2.362, I 76
- 2θ 54.1, d 1.696, I 22
- 2θ 59.0, d 1.565, I 24

Structure:
abc: 8.437 8.437 5.701
angles: 90.00 90.00 120.00
Atoms (fractional coordinates):
Hf (0.000, 0.254, 0.000)
Hf (0.000, 0.764, 0.500)
Hf (0.236, 0.236, 0.500)
Hf (0.254, 0.000, 0.000)
Hf (0.333, 0.667, 0.248)
Hf (0.333, 0.667, 0.752)
Hf (0.667, 0.333, 0.248)
Hf (0.667, 0.333, 0.752)
Hf (0.746, 0.746, 0.000)
Hf (0.764, 0.000, 0.500)
Sn (0.000, 0.612, 0.000)
Sn (0.388, 0.388, 0.000)
Sn (0.612, 0.000, 0.000)
Sb (0.000, 0.396, 0.500)
Sb (0.396, 0.000, 0.500)
Sb (0.604, 0.604, 0.500)


Entry 3:
This entry pairs a crystal structure of Hf4SnSb2 with its computed X-ray powder pattern. Radiation: Cu Kα (weighted mean of Kα1 and Kα2). Structure: a crystal structure in Alexandria, relaxed with PBE.

Main lines, by angle (10° ≤ 2θ ≤ 80°):
- 2θ 14.1, d 6.277, I 33
- 2θ 32.0, d 2.800, I 55
- 2θ 32.8, d 2.733, I 74
- 2θ 38.0, d 2.367, I 72
- 2θ 38.3, d 2.352, I 100
- 2θ 43.3, d 2.089, I 36

Structure:
abc: 7.614 7.614 7.614
angles: 108.68 108.68 111.06
Atoms (fractional coordinates):
Hf (0.122, 0.229, 0.738)
Hf (0.134, 0.372, 0.393)
Hf (0.260, 0.021, 0.393)
Hf (0.490, 0.384, 0.262)
Hf (0.616, 0.510, 0.738)
Hf (0.628, 0.866, 0.607)
Hf (0.771, 0.878, 0.262)
Hf (0.979, 0.740, 0.607)
Sn (0.000, 0.000, 0.000)
Sn (0.750, 0.250, 0.500)
Sb (0.296, 0.625, 0.171)
Sb (0.375, 0.704, 0.829)
Sb (0.454, 0.125, 0.829)
Sb (0.875, 0.546, 0.171)